Calculated powder XRD pattern
Compound: CoP2AuO7
Radiation: Cu Kα (λ = 1.5418 Å)
Structure: DFT lattice parameters and positions (GGA+U)
Peak positions follow from Bragg's law for the DFT cell and can differ from measured ones.

Most intense lines, 2θ from 15° to 90°, in order of rising 2θ:
- 2θ = 17.05°, I = 82
- 2θ = 20.22°, I = 49
- 2θ = 23.98°, I = 41
- 2θ = 28.93°, I = 50
- 2θ = 29.24°, I = 100
- 2θ = 29.90°, I = 77
- 2θ = 34.48°, I = 87
- 2θ = 38.55°, I = 21
- 2θ = 41.96°, I = 37
- 2θ = 42.58°, I = 25
- 2θ = 49.10°, I = 21
- 2θ = 55.89°, I = 22

Atomic structure:
Cell: 4.5174 5.4266 5.4351 Å, 102.98 98.38 98.37°
Fractional coordinates of all 11 atoms:
Co  0.0000  0.0000  0.0000
P  0.4147  0.8816  0.5246
P  0.5862  0.4773  0.1221
Au  0.0009  0.3852  0.6173
O  0.2106  0.7922  0.7056
O  0.2666  0.0048  0.3312
O  0.2857  0.3180  0.9532
O  0.4997  0.6139  0.3885
O  0.7164  0.0491  0.6836
O  0.7359  0.6707  0.9990
O  0.7905  0.2965  0.2114

***

Calculated powder XRD pattern
Compound: CoAuSO
Radiation: Cu Kα (λ = 1.5418 Å)
Structure: DFT lattice parameters and positions (GGA+U)
Peak positions follow from Bragg's law for the DFT cell and can differ from measured ones.

Most intense lines, 2θ from 15° to 90°, in order of rising 2θ:
- 2θ = 20.38°, I = 58
- 2θ = 26.59°, I = 71
- 2θ = 27.08°, I = 35
- 2θ = 28.88°, I = 100
- 2θ = 30.76°, I = 68
- 2θ = 31.22°, I = 54
- 2θ = 34.63°, I = 80
- 2θ = 39.91°, I = 36
- 2θ = 41.10°, I = 37
- 2θ = 42.96°, I = 41
- 2θ = 44.12°, I = 67
- 2θ = 54.14°, I = 38

Atomic structure:
Cell: 6.6068 5.8134 6.7272 Å, 90.00 94.70 90.00°
Fractional coordinates of all 16 atoms:
Co  0.0067  0.2031  0.1280
Co  0.0067  0.2969  0.6280
Co  0.9933  0.7031  0.3720
Co  0.9933  0.7969  0.8720
Au  0.4154  0.2104  0.9680
Au  0.4154  0.2896  0.4680
Au  0.5846  0.7104  0.5320
Au  0.5846  0.7896  0.0320
S  0.2957  0.6065  0.8929
S  0.2957  0.8935  0.3929
S  0.7043  0.1065  0.6071
S  0.7043  0.3935  0.1071
O  0.1120  0.1160  0.8633
O  0.1120  0.3840  0.3633
O  0.8880  0.6160  0.6367
O  0.8880  0.8840  0.1367

***

Calculated powder XRD pattern
Compound: CoAuSO
Radiation: Cu Kα (λ = 1.5418 Å)
Structure: DFT lattice parameters and positions (GGA+U)
Peak positions follow from Bragg's law for the DFT cell and can differ from measured ones.

Most intense lines, 2θ from 15° to 90°, in order of rising 2θ:
- 2θ = 19.19°, I = 86
- 2θ = 24.19°, I = 100
- 2θ = 25.59°, I = 57
- 2θ = 25.95°, I = 60
- 2θ = 29.70°, I = 86
- 2θ = 30.33°, I = 82
- 2θ = 31.11°, I = 65
- 2θ = 32.01°, I = 63
- 2θ = 38.72°, I = 91
- 2θ = 39.51°, I = 49
- 2θ = 43.94°, I = 46
- 2θ = 49.58°, I = 44

Atomic structure:
Cell: 5.2051 5.1984 10.1464 Å, 90.00 91.73 90.00°
Fractional coordinates of all 16 atoms:
Co  0.0031  0.0000  0.1068
Co  0.4959  0.9970  0.9499
Co  0.5041  0.4970  0.0501
Co  0.9969  0.5000  0.8932
Au  0.1393  0.2592  0.5000
Au  0.4972  0.0144  0.3344
Au  0.5028  0.5144  0.6656
Au  0.8607  0.7592  0.5000
S  0.1784  0.3060  0.2703
S  0.1946  0.2184  0.7317
S  0.8054  0.7184  0.2683
S  0.8216  0.8060  0.7297
O  0.2519  0.7485  0.0015
O  0.2567  0.2475  0.0033
O  0.7433  0.7475  0.9967
O  0.7481  0.2485  0.9985

***

Please write out number 3 again, unchanged.
Calculated powder XRD pattern
Compound: CoAuSO
Radiation: Cu Kα (λ = 1.5418 Å)
Structure: DFT lattice parameters and positions (GGA+U)
Peak positions follow from Bragg's law for the DFT cell and can differ from measured ones.

Most intense lines, 2θ from 15° to 90°, in order of rising 2θ:
- 2θ = 19.19°, I = 86
- 2θ = 24.19°, I = 100
- 2θ = 25.59°, I = 57
- 2θ = 25.95°, I = 60
- 2θ = 29.70°, I = 86
- 2θ = 30.33°, I = 82
- 2θ = 31.11°, I = 65
- 2θ = 32.01°, I = 63
- 2θ = 38.72°, I = 91
- 2θ = 39.51°, I = 49
- 2θ = 43.94°, I = 46
- 2θ = 49.58°, I = 44

Atomic structure:
Cell: 5.2051 5.1984 10.1464 Å, 90.00 91.73 90.00°
Fractional coordinates of all 16 atoms:
Co  0.0031  0.0000  0.1068
Co  0.4959  0.9970  0.9499
Co  0.5041  0.4970  0.0501
Co  0.9969  0.5000  0.8932
Au  0.1393  0.2592  0.5000
Au  0.4972  0.0144  0.3344
Au  0.5028  0.5144  0.6656
Au  0.8607  0.7592  0.5000
S  0.1784  0.3060  0.2703
S  0.1946  0.2184  0.7317
S  0.8054  0.7184  0.2683
S  0.8216  0.8060  0.7297
O  0.2519  0.7485  0.0015
O  0.2567  0.2475  0.0033
O  0.7433  0.7475  0.9967
O  0.7481  0.2485  0.9985